Record 1
Diffraction record for ErSi7Ru3. The X-ray diffraction stick pattern is computed, not measured: it uses a GGA-PBE-relaxed structure and Cu Kα.

Crystal structure
```
22
Lattice="3.8093 2.1993 6.6394 -3.8093 2.1993 6.6394 0.0000 -4.3986 6.6394" Properties=species:S:1:pos:R:3 pbc="T T T"
Er 0.0000 0.0000 0.0000
Er 0.0000 0.0000 9.9591
Si -3.0112 -0.9271 10.5290
Si -0.7027 -3.0713 9.3892
Si -0.7027 -1.3273 7.2093
Si 0.0000 0.0000 4.9796
Si -2.3085 2.1442 9.3892
Si -0.7982 1.2722 7.2093
Si -1.5009 -0.0551 12.7089
Si 1.5009 0.0551 7.2093
Si 0.7982 -1.2722 12.7089
Si 2.3085 -2.1442 10.5290
Si 0.0000 0.0000 14.9387
Si 0.7027 1.3273 12.7089
Si 0.7027 3.0713 10.5290
Si 3.0112 0.9271 9.3892
Ru -2.5598 -0.0351 8.2993
Ru -1.2495 -2.2344 11.6190
Ru 1.3103 -2.1993 8.2993
Ru -1.3103 2.1993 11.6190
Ru 1.2495 2.2344 8.2993
Ru 2.5598 0.0351 11.6190
```

The 10 most intense peaks (5° ≤ 2θ ≤ 70°), in order of rising 2θ:
Position (°2θ), d [Å], I (rel.)
16.11, 5.500, 40
26.99, 3.304, 100
32.56, 2.750, 25
35.88, 2.503, 73
37.17, 2.419, 21
38.65, 2.329, 27
40.45, 2.230, 44
41.04, 2.199, 65
47.51, 1.914, 45
49.79, 1.831, 49


Record 2
Diffraction record for Er3Si12Ru4. The X-ray diffraction stick pattern is computed, not measured: it uses a GGA-PBE-relaxed structure and Cu Kα.

Crystal structure
```
38
Lattice="9.2474 -4.0529 0.0000 9.2474 4.0529 0.0000 0.0000 0.0000 8.1123" Properties=species:S:1:pos:R:3 pbc="T T T"
Er 0.0000 0.0000 0.0000
Er 4.6237 2.0036 2.0281
Er 4.6237 -2.0036 6.0842
Er 9.2474 0.0000 4.0561
Er 13.8711 2.0036 2.0281
Er 13.8711 -2.0036 6.0842
Si 7.0797 2.2012 4.0108
Si 2.1692 0.0354 5.9097
Si 2.1692 -0.0354 2.2026
Si 7.0797 1.8517 8.0670
Si 9.2474 2.6954 5.4105
Si 3.7956 0.0000 4.0561
Si 5.4518 0.0000 0.0000
Si 9.2474 1.3575 1.3544
Si 11.4151 2.2012 4.0108
Si 7.0782 0.0354 6.2587
Si 7.0782 -0.0354 1.8536
Si 11.4151 1.8517 8.0670
Si 7.0797 -1.8517 0.0453
Si 11.4166 0.0354 6.2587
Si 11.4166 -0.0354 1.8536
Si 7.0797 -2.2012 4.1015
Si 9.2474 -1.3575 6.7579
Si 13.0430 0.0000 0.0000
Si 14.6992 0.0000 4.0561
Si 9.2474 -2.6954 2.7018
Si 11.4151 -1.8517 0.0453
Si 16.3256 0.0354 5.9097
Si 16.3256 -0.0354 2.2026
Si 11.4151 -2.2012 4.1015
Ru 9.2474 3.0245 3.0233
Ru 3.1338 0.0000 0.0000
Ru 6.1136 0.0000 4.0561
Ru 9.2474 1.0284 7.0794
Ru 9.2474 -1.0284 1.0329
Ru 12.3812 0.0000 4.0561
Ru 15.3610 0.0000 0.0000
Ru 9.2474 -3.0245 5.0890
```

The 10 most intense peaks (5° ≤ 2θ ≤ 70°), in order of rising 2θ:
Position (°2θ), d [Å], I (rel.)
19.20, 4.624, 59
23.96, 3.713, 59
31.20, 2.867, 52
35.34, 2.540, 80
36.62, 2.454, 100
36.89, 2.437, 94
44.70, 2.027, 34
45.82, 1.980, 33
49.54, 1.840, 37
59.11, 1.563, 59


Record 3
Diffraction record for Er3Si4Ru. The X-ray diffraction stick pattern is computed, not measured: it uses a GGA-PBE-relaxed structure and Cu Kα.

Crystal structure
```
16
Lattice="4.2047 0.0000 0.0000 0.0000 5.5798 0.0000 0.0000 0.0000 14.4771" Properties=species:S:1:pos:R:3 pbc="T T T"
Er 0.0000 0.0000 0.0000
Er 0.0000 2.7899 2.8216
Er 0.0000 2.7899 11.6555
Er 2.1024 0.0000 4.4170
Er 2.1024 0.0000 10.0601
Er 2.1024 2.7899 7.2385
Si 0.0000 1.6225 5.4852
Si 0.0000 1.6225 8.9919
Si 0.0000 3.9573 5.4852
Si 0.0000 3.9573 8.9919
Si 2.1024 1.1674 1.7533
Si 2.1024 1.1674 12.7238
Si 2.1024 4.4124 1.7533
Si 2.1024 4.4124 12.7238
Ru 0.0000 0.0000 7.2385
Ru 2.1024 2.7899 0.0000
```

The 10 most intense peaks (5° ≤ 2θ ≤ 70°), in order of rising 2θ:
Position (°2θ), d [Å], I (rel.)
24.39, 3.650, 31
29.32, 3.046, 100
32.08, 2.790, 18
36.50, 2.462, 11
37.72, 2.385, 21
40.84, 2.210, 14
43.02, 2.102, 16
50.02, 1.823, 17
55.50, 1.656, 17
57.88, 1.593, 16


Record 4
Diffraction record for ErSi3Ru5. The X-ray diffraction stick pattern is computed, not measured: it uses a GGA-PBE-relaxed structure and Cu Kα.

Crystal structure
```
18
Lattice="1.4977 -6.5708 0.0000 1.4977 6.5708 0.0000 0.0000 0.0000 13.9360" Properties=species:S:1:pos:R:3 pbc="T T T"
Er 1.4977 4.5420 10.4520
Er 1.4977 -4.5420 3.4840
Si 1.4977 4.7247 3.4840
Si 1.4977 1.7376 0.7463
Si 1.4977 1.7376 6.2217
Si 1.4977 -1.7376 7.7143
Si 1.4977 -1.7376 13.1898
Si 1.4977 -4.7247 10.4520
Ru 0.0000 0.0000 0.0000
Ru 0.0000 0.0000 6.9680
Ru 1.4977 4.0317 1.1381
Ru 1.4977 4.0317 5.8299
Ru 1.4977 0.3689 9.1379
Ru 1.4977 0.3689 11.7662
Ru 1.4977 -0.3689 2.1698
Ru 1.4977 -0.3689 4.7982
Ru 1.4977 -4.0317 8.1061
Ru 1.4977 -4.0317 12.7979
```

The 10 most intense peaks (5° ≤ 2θ ≤ 70°), in order of rising 2θ:
Position (°2θ), d [Å], I (rel.)
23.45, 3.793, 41
33.41, 2.682, 24
36.33, 2.473, 100
38.64, 2.330, 39
40.29, 2.238, 40
41.22, 2.190, 69
47.86, 1.901, 17
47.97, 1.897, 18
50.18, 1.818, 26
61.97, 1.497, 20


Record 5
Diffraction record for Sm2ErRu2. The X-ray diffraction stick pattern is computed, not measured: it uses a GGA-PBE-relaxed structure and Cu Kα.

Crystal structure
```
10
Lattice="4.3259 0.0000 0.0000 0.0000 6.1592 0.0000 0.0000 0.0000 8.8782" Properties=species:S:1:pos:R:3 pbc="T T T"
Sm 0.0000 0.0000 1.7664
Sm 0.0000 0.0000 7.1118
Sm 2.1629 3.0796 2.6727
Sm 2.1629 3.0796 6.2056
Er 0.0000 3.0796 0.0000
Er 2.1629 0.0000 4.4391
Ru 0.0000 1.7383 4.4391
Ru 0.0000 4.4210 4.4391
Ru 2.1629 1.3414 0.0000
Ru 2.1629 4.8179 0.0000
```

The 10 most intense peaks (5° ≤ 2θ ≤ 70°), in order of rising 2θ:
Position (°2θ), d [Å], I (rel.)
32.35, 2.768, 100
33.60, 2.667, 31
35.48, 2.530, 14
36.80, 2.443, 15
37.24, 2.414, 69
40.65, 2.220, 14
41.76, 2.163, 28
54.39, 1.687, 16
54.63, 1.680, 16
64.27, 1.449, 30


Record 6
Diffraction record for SmErZnRu. The X-ray diffraction stick pattern is computed, not measured: it uses a GGA-PBE-relaxed structure and Cu Kα.

Crystal structure
```
8
Lattice="4.2934 0.0000 0.0000 0.0000 3.9604 0.0000 0.0000 0.0000 10.6272" Properties=species:S:1:pos:R:3 pbc="T T T"
Sm 0.0000 0.0000 0.0000
Sm 0.0000 1.9802 5.3136
Er 2.1467 0.0000 7.6206
Er 2.1467 1.9802 2.3070
Zn 2.1467 0.0000 4.4886
Zn 2.1467 1.9802 9.8022
Ru 0.0000 0.0000 2.9565
Ru 0.0000 1.9802 8.2701
```

The 10 most intense peaks (5° ≤ 2θ ≤ 70°), in order of rising 2θ:
Position (°2θ), d [Å], I (rel.)
26.69, 3.340, 21
31.87, 2.808, 100
33.74, 2.657, 23
33.95, 2.640, 39
39.90, 2.259, 22
40.09, 2.249, 51
42.09, 2.147, 27
45.82, 1.980, 21
55.14, 1.666, 20
63.96, 1.456, 15